Entry 1:
For SnBrF2, a crystal structure in Alexandria, relaxed with PBE gives the theoretical powder XRD pattern in this record (λ = 1.5418 Å (Cu Kα)).
No peak broadening, texture or thermal motion is included.

The 12 most intense peaks (10° ≤ 2θ ≤ 90°), low angle first:
two_theta	d [Å]	I_rel
17.82	4.976	14.6
26.41	3.375	16.7
27.01	3.302	100.0
33.48	2.677	28.6
43.13	2.097	28.4
46.98	1.934	22.2
48.07	1.893	7.0
55.68	1.651	18.3
56.00	1.642	26.5
65.37	1.428	8.4
69.48	1.353	14.1
86.21	1.128	8.4

Structural model:
Unit cell a=5.353 b=5.353 c=13.500 alpha=90.00 beta=90.00 gamma=90.00
Space group I4_1/amd (No. 141, origin choice 2)
Asymmetric unit:
Sn: 0.000 0.250 0.375
Br: 0.000 0.250 0.875
F: 0.000 0.000 0.500

***

Entry 2:
For Dy3Ir2Pd, a crystal structure in Alexandria, relaxed with PBE gives the theoretical powder XRD pattern in this record (λ = 1.5418 Å (Cu Kα)).
No peak broadening, texture or thermal motion is included.

The 12 most intense peaks (10° ≤ 2θ ≤ 90°), low angle first:
two_theta	d [Å]	I_rel
11.91	7.429	2.7
18.89	4.698	2.2
36.28	2.476	53.2
37.13	2.421	100.0
52.24	1.751	18.8
54.79	1.676	8.2
65.82	1.419	37.5
67.49	1.388	17.5
77.02	1.238	6.0
79.11	1.211	11.2
88.23	1.107	8.7
88.75	1.102	8.6

Structural model:
Unit cell a=4.952 b=14.858 c=3.351 alpha=90.00 beta=90.00 gamma=90.00
Space group Cmmm (No. 65)
Asymmetric unit:
Dy: 0.000 0.000 0.000
Dy: 0.000 0.330 0.000
Ir: 0.000 0.165 0.500
Pd: 0.000 0.500 0.500